DyTiNiRu: calculated powder X-ray diffraction pattern (copper Kα), based on a GGA-PBE-relaxed structure.
Peak positions follow from Bragg's law for the DFT cell and can differ from measured ones.

Largest 6 diffraction maxima, by intensity, 2θ from 10° to 80°:
2θ = 39.52°, rel. 100.0; 2θ = 71.70°, rel. 32.8; 2θ = 23.90°, rel. 24.3; 2θ = 57.13°, rel. 16.5; 2θ = 46.72°, rel. 12.9; 2θ = 62.81°, rel. 5.6

```
4
Lattice="0.0000 3.2244 3.2244 3.2244 0.0000 3.2244 3.2244 3.2244 0.0000" Properties=species:S:1:pos:R:3 pbc="T T T"
Dy 0.0000 0.0000 0.0000
Ti 3.2244 3.2244 3.2244
Ni 4.8367 4.8367 4.8367
Ru 1.6122 1.6122 1.6122
```